No. 1
This entry pairs a crystal structure of TbDy2ScIn2 with its theoretical PXRD pattern. Radiation: CuKα. Structure: a cell relaxed with PBE.
Intensities are scaled so that the largest is 1000.

Top 10 peaks for 2θ from 10° to 80°, in order of rising 2θ:
2θ/deg	d (Å)	I_rel
33.2	2.701	1000
33.8	2.653	622
34.0	2.638	314
48.0	1.896	118
48.2	1.889	226
60.0	1.543	105
60.1	1.540	120
60.3	1.535	173
60.7	1.526	113
66.1	1.414	168

Crystal structure
a b c (Å): 5.276 9.208 6.685
angles (deg): 90.00 90.00 90.00
Space group Pmc2_1 (No. 26)
One atom of each set of equivalent atoms:
Tb: 0.000 0.009 0.000 [2 per cell]
Dy: 0.000 0.335 0.266 [2 per cell]
Dy: 0.500 0.489 0.004 [2 per cell]
Sc: 0.500 0.171 0.739 [2 per cell]
In: 0.000 0.326 0.757 [2 per cell]
In: 0.500 0.156 0.249 [2 per cell]

No. 2
This entry pairs a crystal structure of LaMgAg4 with its theoretical PXRD pattern. Radiation: CuKα. Structure: a cell relaxed with PBE.
Intensities are scaled so that the largest is 1000.

Top 10 peaks for 2θ from 10° to 80°, in order of rising 2θ:
2θ/deg	d (Å)	I_rel
19.1	4.646	259
22.1	4.023	105
31.4	2.845	170
37.1	2.426	1000
38.8	2.323	519
45.1	2.012	95
59.7	1.549	319
65.6	1.422	271
77.8	1.227	107
78.9	1.213	180

Crystal structure
a b c (Å): 8.046 8.046 8.046
angles (deg): 90.00 90.00 90.00
Space group F-43m (No. 216)
One atom of each set of equivalent atoms:
La: 0.000 0.000 0.000 [4 per cell]
Mg: 0.250 0.250 0.750 [4 per cell]
Ag: 0.124 0.124 0.376 [16 per cell]